1.
Theoretical XRD peak list of Tb3SmSb3 for Cu Kα (λ = 1.5418 Å), from a cell relaxed with GGA-PBE.
No peak broadening, texture or thermal motion is included.

Structure:
```
data_Tb3SmSb3
_chemical_formula_sum 'Tb12 Sm4 Sb12'
_cell_length_a 9.2768
_cell_length_b 9.2768
_cell_length_c 9.2768
_cell_angle_alpha 90.00
_cell_angle_beta 90.00
_cell_angle_gamma 90.00
_space_group_name_H-M_alt 'P 21 3'
_space_group_IT_number 198
_space_group_name_Hall 'P 2ac 2ab 3'
loop_
_atom_site_label
_atom_site_fract_x
_atom_site_fract_y
_atom_site_fract_z
_atom_site_occupancy
Tb1 0.0734 0.4266 0.5734 1
Tb2 0.1787 0.1787 0.1787 1
Tb3 0.1793 0.8207 0.3207 1
Sm1 0.0707 0.5707 0.9293 1
Sb1 0.0007 0.7470 0.6233 1
```

Main lines, low angle first (10° ≤ 2θ ≤ 80°):
30.47 deg, I 100; 36.23 deg, I 67; 48.05 deg, I 18; 50.14 deg, I 24; 61.63 deg, I 25; 63.41 deg, I 12; 65.17 deg, I 14; 75.28 deg, I 15

***

2.
Theoretical XRD peak list of Tb3SmTh2Sb6 for Cu Kα (λ = 1.5418 Å), from a cell relaxed with GGA-PBE.
No peak broadening, texture or thermal motion is included.

Structure:
```
data_Tb3SmTh2Sb6
_chemical_formula_sum 'Tb6 Sm2 Th4 Sb12'
_cell_length_a 19.3788
_cell_length_b 4.4585
_cell_length_c 8.8832
_cell_angle_alpha 90.00
_cell_angle_beta 103.10
_cell_angle_gamma 90.00
_space_group_name_H-M_alt 'C 1 2/m 1'
_space_group_IT_number 12
loop_
_space_group_symop_operation_xyz
'x,y,z'
'-x,-y,-z'
'-x,y,-z'
'x,-y,z'
'x+1/2,y+1/2,z'
'-x+1/2,-y+1/2,-z'
'-x+1/2,y+1/2,-z'
'x+1/2,-y+1/2,z'
loop_
_atom_site_label
_atom_site_fract_x
_atom_site_fract_y
_atom_site_fract_z
_atom_site_occupancy
Tb1 0.0000 0.0000 0.0000 1
Tb2 0.1662 0.5000 0.3338 1
Sm1 0.0000 0.0000 0.5000 1
Th1 0.1652 0.5000 0.8309 1
Sb1 0.0018 0.5000 0.2476 1
Sb2 0.1655 0.0000 0.0872 1
Sb3 0.1677 0.0000 0.5786 1
```

Main lines, low angle first (10° ≤ 2θ ≤ 80°):
28.37 deg, I 100; 40.49 deg, I 39; 40.60 deg, I 38; 50.18 deg, I 21; 58.69 deg, I 13; 66.37 deg, I 18; 66.52 deg, I 18; 73.75 deg, I 11

***

3.
Theoretical XRD peak list of Tb3Sm2YSb6 for Cu Kα (λ = 1.5418 Å), from a cell relaxed with GGA-PBE.
No peak broadening, texture or thermal motion is included.

Structure:
```
data_Tb3Sm2YSb6
_chemical_formula_sum 'Tb6 Sm4 Y2 Sb12'
_cell_length_a 19.2807
_cell_length_b 4.4248
_cell_length_c 8.8465
_cell_angle_alpha 90.00
_cell_angle_beta 103.23
_cell_angle_gamma 90.00
_space_group_name_H-M_alt 'C 1 2/m 1'
_space_group_IT_number 12
loop_
_space_group_symop_operation_xyz
'x,y,z'
'-x,-y,-z'
'-x,y,-z'
'x,-y,z'
'x+1/2,y+1/2,z'
'-x+1/2,-y+1/2,-z'
'-x+1/2,y+1/2,-z'
'x+1/2,-y+1/2,z'
loop_
_atom_site_label
_atom_site_fract_x
_atom_site_fract_y
_atom_site_fract_z
_atom_site_occupancy
Tb1 0.0000 0.0000 0.0000 1
Tb2 0.1673 0.5000 0.3336 1
Sm1 0.1661 0.5000 0.8327 1
Y1 0.0000 0.0000 0.5000 1
Sb1 0.0015 0.5000 0.2512 1
Sb2 0.1658 0.0000 0.0857 1
Sb3 0.1662 0.0000 0.5799 1
```

Main lines, low angle first (10° ≤ 2θ ≤ 80°):
12.26 deg, I 1; 24.65 deg, I 1; 28.53 deg, I 100; 40.79 deg, I 76; 50.53 deg, I 27; 59.06 deg, I 13; 66.88 deg, I 35; 74.26 deg, I 26

***

4.
Theoretical XRD peak list of Sm5Sb2Te for Cu Kα (λ = 1.5418 Å), from a cell relaxed with GGA-PBE.
No peak broadening, texture or thermal motion is included.

Structure:
```
data_Sm5Sb2Te
_chemical_formula_sum 'Sm20 Sb8 Te4'
_cell_length_a 6.1899
_cell_length_b 13.1182
_cell_length_c 13.9267
_cell_angle_alpha 90.00
_cell_angle_beta 90.00
_cell_angle_gamma 90.00
_space_group_name_H-M_alt 'C m c m'
_space_group_IT_number 63
_space_group_name_Hall '-C 2c 2'
loop_
_atom_site_label
_atom_site_fract_x
_atom_site_fract_y
_atom_site_fract_z
_atom_site_occupancy
Sm1 0.0000 0.0511 0.1155 1
Sm2 0.0000 0.3235 0.7500 1
Sm3 0.0000 0.3699 0.0628 1
Sb1 0.0000 0.1793 0.5726 1
Te1 0.0000 0.2399 0.2500 1
```

Main lines, low angle first (10° ≤ 2θ ≤ 80°):
23.48 deg, I 54; 28.85 deg, I 100; 29.04 deg, I 26; 30.23 deg, I 37; 31.61 deg, I 73; 33.45 deg, I 50; 37.52 deg, I 32; 44.75 deg, I 45